Sr3Fe2Br2O5: simulated powder XRD pattern (copper Kα), based on a cell relaxed with PBE+U.
Peak positions follow from Bragg's law for the DFT cell and can differ from measured ones.

Peak list (10 most intense, 2θ = 10–80°, in order of falling intensity)
Position (°2θ)  I_rel
32.2  100
31.6  62
56.6  39
45.2  35
37.5  27
64.4  15
43.3  13
65.9  11
74.9  10
13.1  10

Cell and atoms:
```
Sr3Fe2Br2O5
1.0
-2.0042 2.0042 13.4793
2.0042 -2.0042 13.4793
2.0042 2.0042 -13.4793
Sr Fe Br O
3 2 2 5
Direct
0.0000 0.0000 0.0000
0.1396 0.1396 0.0000
0.8604 0.8604 0.0000
0.4287 0.4287 0.0000
0.5713 0.5713 0.0000
0.3077 0.3077 0.0000
0.6923 0.6923 0.0000
0.0811 0.5811 0.5000
0.4189 0.9189 0.5000
0.5000 0.5000 0.0000
0.5811 0.0811 0.5000
0.9189 0.4189 0.5000
```